1.
This entry pairs a crystal structure of GeSbC with its theoretical powder X-ray diffraction pattern. Radiation: Cu Kα, 1.54184 Å. Structure: the PBE geometry in Alexandria.

Crystal structure
```
data_GeSbC
_chemical_formula_sum 'Ge2 Sb2 C2'
_space_group_name_H-M_alt 'P 1'
_space_group_IT_number 1
_space_group_name_Hall 'P 1'
_cell_length_a 4.135
_cell_length_b 4.775
_cell_length_c 7.409
_cell_angle_alpha 89.63
_cell_angle_beta 73.83
_cell_angle_gamma 89.91
loop_
_atom_site_label
_atom_site_type_symbol
_atom_site_fract_x
_atom_site_fract_y
_atom_site_fract_z
Ge1 Ge 0.000 0.000 0.000
Ge2 Ge 0.313 0.524 0.374
Sb1 Sb 0.194 0.981 0.613
Sb2 Sb 0.500 0.604 0.003
C1 C 0.598 0.274 0.482
C2 C 0.920 0.275 0.482
```

Principal peaks in the range 15 to 90 degrees two-theta, low angle first:
22.38 deg, 3.973 Å, I 79.5; 25.03 deg, 3.558 Å, I 31.9; 29.26 deg, 3.052 Å, I 100.0; 31.45 deg, 2.844 Å, I 18.4; 37.68 deg, 2.387 Å, I 16.5; 37.93 deg, 2.372 Å, I 16.4; 42.88 deg, 2.109 Å, I 33.4; 43.07 deg, 2.100 Å, I 35.1; 43.78 deg, 2.068 Å, I 18.1; 44.23 deg, 2.048 Å, I 26.0

2.
This entry pairs a crystal structure of GeSbC with its theoretical powder X-ray diffraction pattern. Radiation: Cu Kα, 1.54184 Å. Structure: the PBE geometry in Alexandria.

Crystal structure
```
data_GeSbC
_chemical_formula_sum 'Ge2 Sb2 C2'
_space_group_name_H-M_alt 'P 1'
_space_group_IT_number 1
_space_group_name_Hall 'P 1'
_cell_length_a 3.495
_cell_length_b 4.219
_cell_length_c 8.433
_cell_angle_alpha 85.81
_cell_angle_beta 78.73
_cell_angle_gamma 65.60
loop_
_atom_site_label
_atom_site_type_symbol
_atom_site_fract_x
_atom_site_fract_y
_atom_site_fract_z
Ge1 Ge 0.000 0.000 0.000
Ge2 Ge 0.363 0.808 0.450
Sb1 Sb 0.212 0.402 0.191
Sb2 Sb 0.831 0.584 0.754
C1 C 0.505 0.375 0.605
C2 C 0.707 0.016 0.561
```

Principal peaks in the range 15 to 90 degrees two-theta, low angle first:
25.65 deg, 3.473 Å, I 20.8; 28.54 deg, 3.127 Å, I 24.8; 31.65 deg, 2.827 Å, I 91.7; 31.93 deg, 2.803 Å, I 29.2; 32.36 deg, 2.766 Å, I 100.0; 32.71 deg, 2.737 Å, I 86.7; 40.43 deg, 2.231 Å, I 30.9; 44.14 deg, 2.052 Å, I 76.9; 48.75 deg, 1.868 Å, I 24.0; 52.35 deg, 1.748 Å, I 29.2

Repeat the first record exactly.
This entry pairs a crystal structure of GeSbC with its theoretical powder X-ray diffraction pattern. Radiation: Cu Kα, 1.54184 Å. Structure: the PBE geometry in Alexandria.

Crystal structure
```
data_GeSbC
_chemical_formula_sum 'Ge2 Sb2 C2'
_space_group_name_H-M_alt 'P 1'
_space_group_IT_number 1
_space_group_name_Hall 'P 1'
_cell_length_a 4.135
_cell_length_b 4.775
_cell_length_c 7.409
_cell_angle_alpha 89.63
_cell_angle_beta 73.83
_cell_angle_gamma 89.91
loop_
_atom_site_label
_atom_site_type_symbol
_atom_site_fract_x
_atom_site_fract_y
_atom_site_fract_z
Ge1 Ge 0.000 0.000 0.000
Ge2 Ge 0.313 0.524 0.374
Sb1 Sb 0.194 0.981 0.613
Sb2 Sb 0.500 0.604 0.003
C1 C 0.598 0.274 0.482
C2 C 0.920 0.275 0.482
```

Principal peaks in the range 15 to 90 degrees two-theta, low angle first:
22.38 deg, 3.973 Å, I 79.5; 25.03 deg, 3.558 Å, I 31.9; 29.26 deg, 3.052 Å, I 100.0; 31.45 deg, 2.844 Å, I 18.4; 37.68 deg, 2.387 Å, I 16.5; 37.93 deg, 2.372 Å, I 16.4; 42.88 deg, 2.109 Å, I 33.4; 43.07 deg, 2.100 Å, I 35.1; 43.78 deg, 2.068 Å, I 18.1; 44.23 deg, 2.048 Å, I 26.0